# 1
Diffraction record for MgTiV4CoO12. The powder X-ray diffraction pattern is calculated, not measured: it uses a cell relaxed with GGA+U and a wavelength of 1.5418 Å.
No peak broadening, texture or thermal motion is included.

Main lines, sorted by position (2θ from 10° to 80°):
| 2θ/deg | d/Å | I/Imax |
| --- | --- | --- |
| 12.7 | 6.997 | 15 |
| 19.0 | 4.683 | 33 |
| 19.1 | 4.654 | 100 |
| 27.1 | 3.286 | 25 |
| 28.1 | 3.181 | 34 |
| 32.7 | 2.740 | 21 |
| 33.2 | 2.698 | 31 |
| 37.6 | 2.391 | 15 |

Atomic structure:
Cell: 5.5660 7.1656 7.1716 Å, 81.58 79.37 79.36°
Element x y z (fractional)
Mg 0.0000 0.0000 0.0000
Ti 0.0005 0.3326 0.6684
V 0.1389 0.8008 0.6975
V 0.4097 0.0592 0.3545
V 0.5917 0.6453 0.9411
V 0.8638 0.3024 0.1999
Co 0.5003 0.5270 0.4723
O 0.0100 0.3014 0.9365
O 0.1537 0.5607 0.6097
O 0.1675 0.0779 0.2280
O 0.3064 0.8004 0.9169
O 0.3536 0.2399 0.4999
O 0.4407 0.8307 0.4861
O 0.5622 0.5142 0.1696
O 0.6471 0.4993 0.7610
O 0.6946 0.0840 0.1990
O 0.8340 0.7722 0.9207
O 0.8466 0.3887 0.4408
O 0.9923 0.0641 0.6997

# 2
Diffraction record for MgTiV4CoO12. The powder X-ray diffraction pattern is calculated, not measured: it uses a cell relaxed with GGA+U and a wavelength of 1.5418 Å.
No peak broadening, texture or thermal motion is included.

Main lines, sorted by position (2θ from 10° to 80°):
| 2θ/deg | d/Å | I/Imax |
| --- | --- | --- |
| 13.3 | 6.643 | 23 |
| 19.3 | 4.605 | 10 |
| 20.3 | 4.376 | 7 |
| 28.1 | 3.177 | 100 |
| 36.3 | 2.473 | 34 |
| 45.9 | 1.978 | 7 |
| 51.5 | 1.776 | 16 |
| 55.1 | 1.666 | 15 |

Atomic structure:
Cell: 7.1028 7.1028 5.4294 Å, 108.86 108.86 76.07°
Element x y z (fractional)
Mg 0.0000 0.0000 0.0000
Ti 0.8025 0.1975 0.5000
V 0.1094 0.4754 0.0140
V 0.3379 0.1232 0.5389
V 0.5246 0.8906 0.9860
V 0.8768 0.6621 0.4611
Co 0.6302 0.3698 0.0000
O 0.0191 0.6789 0.8687
O 0.0546 0.1476 0.4114
O 0.1298 0.5651 0.3555
O 0.3211 0.9809 0.1313
O 0.3298 0.3389 0.9332
O 0.4349 0.8702 0.6445
O 0.5509 0.2637 0.6034
O 0.6611 0.6702 0.0668
O 0.6979 0.0679 0.0973
O 0.7363 0.4491 0.3966
O 0.8524 0.9454 0.5886
O 0.9321 0.3021 0.9027

# 3
Diffraction record for MgV2Co2O8. The powder X-ray diffraction pattern is calculated, not measured: it uses a cell relaxed with GGA+U and a wavelength of 1.5418 Å.
No peak broadening, texture or thermal motion is included.

Main lines, sorted by position (2θ from 10° to 80°):
| 2θ/deg | d/Å | I/Imax |
| --- | --- | --- |
| 20.0 | 4.440 | 46 |
| 22.8 | 3.897 | 55 |
| 23.8 | 3.739 | 73 |
| 25.4 | 3.501 | 68 |
| 31.4 | 2.849 | 100 |
| 34.1 | 2.626 | 69 |
| 34.7 | 2.582 | 72 |
| 46.6 | 1.948 | 66 |

Atomic structure:
Cell: 5.2868 5.2868 6.3188 Å, 93.82 93.82 65.21°
Element x y z (fractional)
Mg 0.0000 0.0000 0.0000
V 0.1661 0.1661 0.6989
V 0.8339 0.8339 0.3011
Co 0.5000 0.5000 0.0000
Co 0.5000 0.5000 0.5000
O 0.2015 0.7281 0.2458
O 0.2709 0.2709 0.4875
O 0.2719 0.7985 0.7542
O 0.2762 0.2762 0.9316
O 0.7238 0.7238 0.0684
O 0.7281 0.2015 0.2458
O 0.7291 0.7291 0.5125
O 0.7985 0.2719 0.7542

# 4
Diffraction record for MgV2Co2O8. The powder X-ray diffraction pattern is calculated, not measured: it uses a cell relaxed with GGA+U and a wavelength of 1.5418 Å.
No peak broadening, texture or thermal motion is included.

Main lines, sorted by position (2θ from 10° to 80°):
| 2θ/deg | d/Å | I/Imax |
| --- | --- | --- |
| 22.8 | 3.902 | 24 |
| 30.8 | 2.900 | 40 |
| 31.5 | 2.836 | 47 |
| 33.1 | 2.710 | 100 |
| 38.1 | 2.365 | 31 |
| 48.0 | 1.894 | 15 |
| 57.1 | 1.612 | 20 |
| 64.2 | 1.450 | 22 |

Atomic structure:
Cell: 5.8779 5.8779 5.8779 Å, 122.31 110.30 96.81°
Element x y z (fractional)
Mg 0.0000 0.0000 0.0000
V 0.3602 0.3602 0.0000
V 0.6451 0.1451 0.5000
Co 0.4595 0.7290 0.7305
Co 0.9985 0.7290 0.2695
O 0.2118 0.4594 0.2476
O 0.2118 0.9642 0.7524
O 0.2724 0.4806 0.7918
O 0.3034 0.0038 0.2996
O 0.6888 0.4806 0.2082
O 0.7042 0.0038 0.7004
O 0.7687 0.0033 0.2347
O 0.7687 0.5340 0.7653